Simulated powder diffractogram of Al2TlCr2 for CuKα, from a cell relaxed with GGA-PBE.
Neutral-atom scattering factors, no anomalous dispersion.

The 10 most intense peaks (2θ = 10–80°), sorted by position:
Position (°2θ), d [Å], intensity, (hkl)
16.62, 5.335, 99, 1 1 0
23.58, 3.772, 43, 2 0 0
33.60, 2.667, 48, 2 2 0
34.38, 2.608, 64, 1 1 1
37.70, 2.386, 100, 3 1 0
38.42, 2.343, 83, 2 0 1
40.30, 2.238, 29, 2 1 1
48.84, 1.865, 39, 3 1 1
71.09, 1.326, 27, 5 1 1
74.97, 1.267, 26, 3 1 2

Cell and atoms:
Lattice parameters (Å, degrees): 7.5445 7.5445 2.9901 90.00 90.00 90.00
Space group P4/mbm (No. 127)
One atom of each set of equivalent atoms:
Al 0.1228 0.3772 0.0000 (multiplicity 4)
Tl 0.0000 0.0000 0.0000 (multiplicity 2)
Cr 0.1706 0.6706 0.5000 (multiplicity 4)